Starting from a cell relaxed with PBE, the powder diffraction line list of ErScS2Br2 was computed for Cu Kα.

Atomic structure:
```
6
Lattice="3.8947 0.0000 0.0000 0.0000 5.2144 0.0000 0.0000 0.0000 8.8984" Properties=species:S:1:pos:R:3 pbc="T T T"
Er 0.0000 0.0000 0.0000
Sc 1.9473 2.6072 2.2053
S 0.0000 2.6072 0.4887
S 1.9473 0.0000 1.8731
Br 0.0000 2.6072 4.0612
Br 1.9473 0.0000 6.9032
```

Peak list (6 most intense, 2θ = 5–70°, in order of rising 2θ)
d = 8.898 Å, rel. 70; d = 4.499 Å, rel. 100; d = 2.945 Å, rel. 39; d = 2.931 Å, rel. 83; d = 2.150 Å, rel. 41; d = 1.948 Å, rel. 63

---

Starting from a cell relaxed with PBE, the powder diffraction line list of AgI3O8 was computed for Cu Kα.

Atomic structure:
```
48
Lattice="8.0059 0.0000 0.0000 0.0000 7.9933 0.0000 0.0000 0.0000 11.5358" Properties=species:S:1:pos:R:3 pbc="T T T"
Ag 0.0000 0.0000 0.0000
Ag 0.0000 3.9966 5.7679
Ag 4.0029 0.0000 0.3447
Ag 4.0029 3.9966 6.1126
I 0.0000 0.0000 6.5834
I 0.0000 3.9966 0.8155
I 1.8606 1.9508 9.4282
I 1.8606 2.0459 3.6603
I 2.0098 5.8049 8.2469
I 2.0098 6.1850 2.4790
I 4.0029 0.0000 5.3830
I 4.0029 3.9966 11.1509
I 5.9960 1.8082 2.4790
I 5.9960 2.1884 8.2469
I 6.1453 5.9474 3.6603
I 6.1453 6.0425 9.4282
O 0.0673 1.8858 3.9552
O 0.0673 2.1109 9.7231
O 0.6885 5.9251 1.0184
O 0.6885 6.0648 6.7863
O 1.3734 0.3597 7.7917
O 1.3734 3.6369 2.0238
O 1.9020 4.0175 7.9010
O 1.9020 7.9724 2.1331
O 2.0861 0.7084 5.1321
O 2.0861 3.2882 10.9000
O 2.1449 0.4842 10.4844
O 2.1449 3.5125 4.7165
O 3.4897 5.8516 1.4451
O 3.4897 6.1383 7.2130
O 3.5981 5.3810 9.9785
O 3.5981 6.6089 4.2106
O 4.4078 1.3844 4.2106
O 4.4078 2.6123 9.9785
O 4.5161 1.8550 7.2130
O 4.5161 2.1416 1.4451
O 5.8610 4.4808 4.7165
O 5.8610 7.5091 10.4844
O 5.9197 4.7050 10.9000
O 5.9197 7.2849 5.1321
O 6.1039 0.0209 2.1331
O 6.1039 3.9757 7.9010
O 6.6324 4.3564 2.0238
O 6.6324 7.6335 7.7917
O 7.3173 1.9284 6.7863
O 7.3173 2.0682 1.0184
O 7.9386 5.8824 9.7231
O 7.9386 6.1075 3.9552
```

Peak list (6 most intense, 2θ = 5–70°, in order of rising 2θ)
d = 4.039 Å, rel. 31; d = 3.287 Å, rel. 100; d = 2.828 Å, rel. 32; d = 2.000 Å, rel. 21; d = 1.902 Å, rel. 16; d = 1.708 Å, rel. 30

---

Starting from a cell relaxed with PBE, the powder diffraction line list of MoSe2S2Br was computed for Cu Kα.

Atomic structure:
```
12
Lattice="6.2775 0.0000 0.0000 -1.0707 7.9054 0.0000 -2.0655 -4.0553 6.6379" Properties=species:S:1:pos:R:3 pbc="T T T"
Mo -0.6752 -4.0533 6.6347
Mo 4.8871 -0.0019 0.0032
Se 0.0009 1.5524 1.4933
Se 0.0077 4.4284 4.7053
Se 3.1335 -0.5783 1.9326
Se 3.1404 2.2977 5.1447
S -1.0668 6.1434 0.8995
S 2.0657 6.1012 0.1155
S 1.0755 -2.2511 6.5225
S 4.2081 -2.2933 5.7384
Br 0.0074 0.5351 3.9519
Br 3.1338 3.3150 2.6860
```

Peak list (6 most intense, 2θ = 5–70°, in order of rising 2θ)
d = 6.838 Å, rel. 100; d = 6.746 Å, rel. 31; d = 6.638 Å, rel. 17; d = 3.383 Å, rel. 23; d = 3.083 Å, rel. 17; d = 1.886 Å, rel. 20

---

Starting from a cell relaxed with PBE, the powder diffraction line list of Rb3ZrH6 was computed for Cu Kα.

Atomic structure:
```
10
Lattice="0.0000 4.6320 4.6320 4.6320 0.0000 4.6320 4.6320 4.6320 0.0000" Properties=species:S:1:pos:R:3 pbc="T T T"
Rb 0.0000 0.0000 0.0000
Rb 2.3160 2.3160 2.3160
Rb 6.9479 6.9479 6.9479
Zr 4.6320 4.6320 4.6320
H 4.6320 4.6320 2.6157
H 4.6320 2.6157 4.6320
H 6.6482 4.6320 4.6320
H 2.6157 4.6320 4.6320
H 4.6320 6.6482 4.6320
H 4.6320 4.6320 6.6482
```

Peak list (5 most intense, 2θ = 5–70°, in order of rising 2θ)
d = 3.275 Å, rel. 100; d = 2.316 Å, rel. 20; d = 1.891 Å, rel. 40; d = 1.638 Å, rel. 13; d = 1.465 Å, rel. 18